1.
Nd4DyIn4: calculated X-ray powder pattern (Cu Kα (λ = 1.5418 Å)), based on a crystal structure in Alexandria, relaxed with PBE.

Largest 10 diffraction maxima, in order of rising 2θ, 10 to 80 degrees two-theta:
| 2θ/deg | I/Imax |
| --- | --- |
| 25.81 | 20 |
| 30.00 | 79 |
| 30.62 | 100 |
| 30.86 | 58 |
| 32.38 | 84 |
| 33.85 | 42 |
| 35.88 | 75 |
| 37.94 | 60 |
| 50.00 | 20 |
| 67.62 | 34 |

Structural model:
Unit cell a=9.2321 b=9.2321 c=6.2928 alpha=90.00 beta=90.00 gamma=90.00
Space group P4_2/n (No. 86, origin choice 2)
One atom of each set of equivalent atoms:
Nd  0.0788  0.8225  0.1199 x8
Dy  0.2500  0.2500  0.7500 x2
In  0.0502  0.1515  0.3675 x8

***

2.
Sc3Zn: calculated X-ray powder pattern (Cu Kα (λ = 1.5418 Å)), based on a crystal structure in Alexandria, relaxed with PBE.

Largest 10 diffraction maxima, in order of rising 2θ, 10 to 80 degrees two-theta:
| 2θ/deg | I/Imax |
| --- | --- |
| 16.35 | 4 |
| 24.18 | 4 |
| 33.04 | 24 |
| 35.84 | 26 |
| 37.73 | 100 |
| 49.54 | 14 |
| 59.01 | 16 |
| 65.66 | 17 |
| 71.00 | 18 |
| 72.19 | 12 |

Structural model:
Unit cell a=6.2612 b=6.2612 c=5.0106 alpha=90.00 beta=90.00 gamma=120.00
Space group P6_3/mmc (No. 194)
One atom of each set of equivalent atoms:
Sc  0.1716  0.3432  0.2500 x6
Zn  0.3333  0.6667  0.7500 x2